Diffraction record for Er2Mn2ZnNi5. The PXRD pattern is computed, not measured: it uses the PBE geometry in Alexandria and copper Kα.
Intensities are scaled so that the largest is 1000.

Main lines, by intensity (10 to 90 degrees two-theta):
2θ 40.1, rel. 1000, hkl 3 1 1; 2θ 40.9, rel. 656, hkl 4 1 0; 2θ 33.2, rel. 475, hkl 2 1 1; 2θ 66.9, rel. 370, hkl 4 1 2; 2θ 43.8, rel. 349, hkl 3 2 1; 2θ 37.4, rel. 348, hkl 2 2 1; 2θ 50.5, rel. 276, hkl 0 0 2; 2θ 42.2, rel. 258, hkl 3 3 0; 2θ 67.8, rel. 214, hkl 3 3 2; 2θ 31.6, rel. 199, hkl 2 0 1

Structure:
```
Er2Mn2ZnNi5
1.0
9.093 0.000 0.000
0.000 9.093 0.000
0.000 0.000 3.616
Er Mn Zn Ni
4 4 2 10
Direct
0.180 0.320 0.000
0.320 0.820 0.000
0.680 0.180 0.000
0.820 0.680 0.000
0.119 0.619 0.000
0.381 0.119 0.000
0.619 0.881 0.000
0.881 0.381 0.000
0.000 0.000 0.000
0.500 0.500 0.000
0.000 0.500 0.500
0.058 0.796 0.500
0.204 0.058 0.500
0.296 0.558 0.500
0.442 0.296 0.500
0.500 0.000 0.500
0.558 0.704 0.500
0.704 0.442 0.500
0.796 0.942 0.500
0.942 0.204 0.500
```